Computed PXRD pattern of EuTlW2O8 for copper Kα, from a crystal structure in Alexandria, relaxed with PBE+U.
Peak positions follow from Bragg's law for the DFT cell and can differ from measured ones.

Peak list (8 most intense, 10 to 90 degrees two-theta, by angle)
| 2θ (°) | d (Å) | intensity |
| --- | --- | --- |
| 26.51 | 3.363 | 100 |
| 28.82 | 3.098 | 78 |
| 31.26 | 2.861 | 29 |
| 32.26 | 2.775 | 19 |
| 32.68 | 2.740 | 18 |
| 45.85 | 1.979 | 17 |
| 46.62 | 1.948 | 23 |
| 52.75 | 1.735 | 16 |

Cell and atoms:
```
EuTlW2O8
1.0
5.595 -5.480 0.000
5.595 5.480 0.000
-4.870 0.000 5.723
Eu Tl W O
2 2 4 16
Direct
0.225 0.775 0.750
0.775 0.225 0.250
0.218 0.782 0.250
0.782 0.218 0.750
0.301 0.311 0.790
0.311 0.301 0.290
0.689 0.699 0.710
0.699 0.689 0.210
0.048 0.235 0.194
0.063 0.363 0.631
0.235 0.048 0.694
0.256 0.374 0.061
0.363 0.063 0.131
0.374 0.256 0.561
0.376 0.592 0.531
0.408 0.624 0.969
0.592 0.376 0.031
0.624 0.408 0.469
0.626 0.744 0.439
0.637 0.937 0.869
0.744 0.626 0.939
0.765 0.952 0.306
0.937 0.637 0.369
0.952 0.765 0.806
```